Record 1
Diffraction record for Pr2Er3Ru2. The X-ray diffraction stick pattern is theoretical, not measured: it uses the GGA-PBE geometry in Alexandria and Cu Kα.

a b c (Å): 6.378 6.378 8.889
angles (deg): 115.00 115.00 35.27
Sites, in units of the cell vectors:
Pr  0.163  0.163  0.299
Pr  0.837  0.837  0.701
Er  0.377  0.377  0.075
Er  0.500  0.500  0.500
Er  0.623  0.623  0.925
Ru  0.175  0.175  0.735
Ru  0.825  0.825  0.265

Top 8 peaks for 2θ = 10–90°, by angle:
d_spacing  2θ (°)  I_rel
2.959  30.20  558
2.911  30.71  534
2.796  32.00  1000
2.696  33.23  682
2.631  34.08  706
2.509  35.79  665
2.315  38.90  417
1.932  47.03  418

---

Record 2
Diffraction record for PrEr4S6. The X-ray diffraction stick pattern is theoretical, not measured: it uses the GGA-PBE geometry in Alexandria and Cu Kα.

a b c (Å): 6.671 6.671 19.786
angles (deg): 90.00 90.00 146.42
Sites, in units of the cell vectors:
Pr  0.154  0.846  0.750
Pr  0.846  0.154  0.250
Er  0.093  0.907  0.126
Er  0.093  0.907  0.374
Er  0.362  0.638  0.039
Er  0.362  0.638  0.461
Er  0.638  0.362  0.539
Er  0.638  0.362  0.961
Er  0.907  0.093  0.626
Er  0.907  0.093  0.874
S  0.000  0.000  0.000
S  0.000  0.000  0.500
S  0.181  0.819  0.250
S  0.268  0.732  0.588
S  0.268  0.732  0.912
S  0.454  0.546  0.163
S  0.454  0.546  0.337
S  0.546  0.454  0.663
S  0.546  0.454  0.837
S  0.732  0.268  0.088
S  0.732  0.268  0.412
S  0.819  0.181  0.750

Top 8 peaks for 2θ = 10–90°, by angle:
d_spacing  2θ (°)  I_rel
3.364  26.50  1000
3.220  27.70  503
3.193  27.94  344
2.828  31.64  341
2.745  32.62  784
2.622  34.20  587
2.054  44.08  373
1.956  46.43  565

---

Record 3
Diffraction record for Pr2ErS3. The X-ray diffraction stick pattern is theoretical, not measured: it uses the GGA-PBE geometry in Alexandria and Cu Kα.

a b c (Å): 6.946 6.946 7.035
angles (deg): 99.47 99.47 120.12
Sites, in units of the cell vectors:
Pr  0.000  0.000  0.000
Pr  0.161  0.839  0.500
Pr  0.500  0.500  0.500
Pr  0.839  0.161  0.500
Er  0.334  0.666  0.000
Er  0.666  0.334  0.000
S  0.079  0.426  0.236
S  0.270  0.270  0.769
S  0.426  0.079  0.236
S  0.574  0.921  0.764
S  0.730  0.730  0.231
S  0.921  0.574  0.764

Top 8 peaks for 2θ = 10–90°, by angle:
d_spacing  2θ (°)  I_rel
3.321  26.85  201
3.278  27.21  577
2.848  31.41  1000
2.023  44.79  364
2.004  45.25  355
1.717  53.37  129
1.640  56.08  123
1.424  65.56  114

---

Record 4
Diffraction record for Pr2Er2Se2S3. The X-ray diffraction stick pattern is theoretical, not measured: it uses the GGA-PBE geometry in Alexandria and Cu Kα.

a b c (Å): 8.541 8.541 8.541
angles (deg): 143.36 143.36 52.78
Sites, in units of the cell vectors:
Pr  0.198  0.198  0.000
Pr  0.802  0.802  0.000
Er  0.000  0.500  0.500
Er  0.500  0.000  0.500
Se  0.399  0.399  0.000
Se  0.601  0.601  0.000
S  0.000  0.000  0.000
S  0.250  0.750  0.500
S  0.750  0.250  0.500

Top 8 peaks for 2θ = 10–90°, by angle:
d_spacing  2θ (°)  I_rel
3.826  23.25  234
3.401  26.20  801
2.695  33.25  469
2.685  33.38  1000
2.659  33.71  578
1.898  47.92  357
1.889  48.17  417
1.658  55.43  218

---

Record 5
Diffraction record for TbPr4Er3S8. The X-ray diffraction stick pattern is theoretical, not measured: it uses the GGA-PBE geometry in Alexandria and Cu Kα.

a b c (Å): 8.097 8.097 8.097
angles (deg): 58.31 58.31 58.31
Sites, in units of the cell vectors:
Tb  0.000  0.000  0.000
Pr  0.000  0.000  0.500
Pr  0.000  0.500  0.000
Pr  0.500  0.000  0.000
Pr  0.500  0.500  0.500
Er  0.000  0.500  0.500
Er  0.500  0.000  0.500
Er  0.500  0.500  0.000
S  0.244  0.244  0.740
S  0.244  0.740  0.244
S  0.258  0.258  0.258
S  0.260  0.756  0.756
S  0.740  0.244  0.244
S  0.742  0.742  0.742
S  0.756  0.260  0.756
S  0.756  0.756  0.260

Top 8 peaks for 2θ = 10–90°, by angle:
d_spacing  2θ (°)  I_rel
3.347  26.63  215
3.234  27.58  581
2.824  31.68  1000
2.023  44.80  370
1.972  46.02  350
1.699  53.96  198
1.617  56.95  183
1.276  74.33  158

---

Record 6
Diffraction record for TbPrEr4S8. The X-ray diffraction stick pattern is theoretical, not measured: it uses the GGA-PBE geometry in Alexandria and Cu Kα.

a b c (Å): 8.077 8.077 8.077
angles (deg): 59.77 59.77 59.77
Sites, in units of the cell vectors:
Tb  0.000  0.000  0.000
Pr  0.625  0.625  0.625
Er  0.000  0.000  0.497
Er  0.000  0.497  0.000
Er  0.374  0.374  0.374
Er  0.497  0.000  0.000
S  0.213  0.759  0.759
S  0.242  0.242  0.242
S  0.245  0.245  0.768
S  0.245  0.768  0.245
S  0.759  0.213  0.759
S  0.759  0.759  0.213
S  0.762  0.762  0.762
S  0.768  0.245  0.245

Top 8 peaks for 2θ = 10–90°, by angle:
d_spacing  2θ (°)  I_rel
4.032  22.05  252
3.438  25.92  1000
2.851  31.38  197
2.198  41.06  120
2.193  41.16  323
2.019  44.89  285
2.012  45.05  285
1.483  62.66  120

---

Record 7
Diffraction record for PrYEr2S6. The X-ray diffraction stick pattern is theoretical, not measured: it uses the GGA-PBE geometry in Alexandria and Cu Kα.

a b c (Å): 7.364 7.364 7.364
angles (deg): 56.49 56.49 56.49
Sites, in units of the cell vectors:
Pr  0.000  0.000  0.000
Y  0.493  0.493  0.493
Er  0.291  0.291  0.291
Er  0.795  0.795  0.795
S  0.083  0.670  0.418
S  0.190  0.582  0.898
S  0.418  0.083  0.670
S  0.582  0.898  0.190
S  0.670  0.418  0.083
S  0.898  0.190  0.582

Top 8 peaks for 2θ = 10–90°, by angle:
d_spacing  2θ (°)  I_rel
5.055  17.54  492
3.671  24.24  1000
3.485  25.56  952
2.527  35.52  512
2.309  39.00  780
2.046  44.27  490
2.012  45.06  496
1.769  51.67  247

---

Record 8
Diffraction record for Pr2Er2Sb5. The X-ray diffraction stick pattern is theoretical, not measured: it uses the GGA-PBE geometry in Alexandria and Cu Kα.

a b c (Å): 8.995 8.995 8.278
angles (deg): 90.00 90.00 53.48
Sites, in units of the cell vectors:
Pr  0.192  0.192  0.000
Pr  0.308  0.308  0.500
Pr  0.692  0.692  0.500
Pr  0.808  0.808  0.000
Er  0.156  0.844  0.661
Er  0.344  0.656  0.161
Er  0.656  0.344  0.839
Er  0.844  0.156  0.339
Sb  0.000  0.000  0.000
Sb  0.009  0.723  0.357
Sb  0.223  0.509  0.857
Sb  0.277  0.991  0.357
Sb  0.491  0.777  0.857
Sb  0.500  0.500  0.500
Sb  0.509  0.223  0.143
Sb  0.723  0.009  0.643
Sb  0.777  0.491  0.143
Sb  0.991  0.277  0.643

Top 8 peaks for 2θ = 10–90°, by angle:
d_spacing  2θ (°)  I_rel
3.313  26.92  374
3.036  29.42  1000
2.894  30.90  344
2.809  31.85  409
2.696  33.24  926
2.678  33.46  355
2.578  34.80  734
2.533  35.43  673

---

Record 9
Diffraction record for Pr4ErSb5. The X-ray diffraction stick pattern is theoretical, not measured: it uses the GGA-PBE geometry in Alexandria and Cu Kα.

a b c (Å): 7.826 7.826 7.826
angles (deg): 99.61 99.61 131.76
Sites, in units of the cell vectors:
Pr  0.097  0.699  0.797
Pr  0.301  0.097  0.398
Pr  0.699  0.903  0.602
Pr  0.903  0.301  0.203
Er  0.500  0.500  0.000
Sb  0.000  0.000  0.000
Sb  0.207  0.402  0.609
Sb  0.402  0.793  0.194
Sb  0.598  0.207  0.806
Sb  0.793  0.598  0.391

Top 8 peaks for 2θ = 10–90°, by angle:
d_spacing  2θ (°)  I_rel
3.690  24.12  17
3.195  27.92  1000
2.260  39.90  765
1.845  49.40  274
1.598  57.70  128
1.429  65.29  351
1.305  72.45  258
1.130  86.06  83

---

Record 10
Diffraction record for PrEr2Sc4. The X-ray diffraction stick pattern is theoretical, not measured: it uses the GGA-PBE geometry in Alexandria and Cu Kα.

a b c (Å): 6.721 8.211 8.317
angles (deg): 118.96 90.10 101.77
Sites, in units of the cell vectors:
Pr  0.000  0.000  0.000
Pr  0.141  0.555  0.654
Er  0.362  0.427  0.248
Er  0.505  0.001  0.990
Er  0.640  0.556  0.656
Er  0.969  0.877  0.527
Sc  0.176  0.691  0.124
Sc  0.294  0.138  0.397
Sc  0.330  0.284  0.819
Sc  0.475  0.882  0.529
Sc  0.673  0.693  0.122
Sc  0.781  0.141  0.400
Sc  0.821  0.292  0.831
Sc  0.853  0.422  0.248

Top 8 peaks for 2θ = 10–90°, by angle:
d_spacing  2θ (°)  I_rel
7.065  12.53  389
2.855  31.33  198
2.835  31.56  481
2.725  32.87  572
2.707  33.09  1000
2.628  34.12  482
2.576  34.82  551
1.808  50.49  215

---

Record 11
Diffraction record for Pr5ErSc4. The X-ray diffraction stick pattern is theoretical, not measured: it uses the GGA-PBE geometry in Alexandria and Cu Kα.

a b c (Å): 3.639 3.639 23.081
angles (deg): 90.00 90.00 90.00
Sites, in units of the cell vectors:
Pr  0.000  0.000  0.000
Pr  0.000  0.000  0.196
Pr  0.000  0.000  0.392
Pr  0.000  0.000  0.608
Pr  0.000  0.000  0.804
Er  0.500  0.500  0.500
Sc  0.500  0.500  0.098
Sc  0.500  0.500  0.294
Sc  0.500  0.500  0.706
Sc  0.500  0.500  0.902

Top 8 peaks for 2θ = 10–90°, by angle:
d_spacing  2θ (°)  I_rel
3.639  24.46  112
2.858  31.30  1000
2.573  34.86  383
2.308  39.02  127
1.819  50.15  170
1.718  53.32  203
1.535  60.30  298
1.429  65.30  109

---

Record 12
Diffraction record for Pr8Er2Sc3. The X-ray diffraction stick pattern is theoretical, not measured: it uses the GGA-PBE geometry in Alexandria and Cu Kα.

a b c (Å): 8.843 8.843 6.019
angles (deg): 106.95 106.95 81.09
Sites, in units of the cell vectors:
Pr  0.087  0.087  0.252
Pr  0.112  0.579  0.855
Pr  0.364  0.364  0.382
Pr  0.421  0.888  0.145
Pr  0.579  0.112  0.855
Pr  0.636  0.636  0.618
Pr  0.888  0.421  0.145
Pr  0.913  0.913  0.748
Er  0.182  0.182  0.819
Er  0.818  0.818  0.181
Sc  0.229  0.771  0.500
Sc  0.500  0.500  0.000
Sc  0.771  0.229  0.500

Top 8 peaks for 2θ = 10–90°, by angle:
d_spacing  2θ (°)  I_rel
3.103  28.77  172
3.003  29.75  489
2.873  31.13  935
2.863  31.24  1000
2.755  32.50  270
2.345  38.38  158
2.281  39.51  216
1.657  55.44  174